The following is a simulated X-ray diffraction stick pattern of Nd12TlNi5. It was derived from a crystal structure in Alexandria, relaxed with PBE, using Cu Ka.
Neutral-atom scattering factors, no anomalous dispersion.

Principal peaks in the range 2θ = 10–80°, in order of rising 2θ:
two_theta  I (rel.)
27.6  31
28.2  36
29.1  43
31.1  100
33.3  71
33.4  72
34.3  42
37.2  26
52.3  23
54.1  20
56.7  25
58.1  35

Cell and atoms:
a b c (Å): 8.6399 8.6399 8.6399
angles (deg): 112.04 109.59 106.83
Fractional positions:
1 Nd 0.0163 0.2057 0.8106
2 Nd 0.1810 0.3002 0.4813
3 Nd 0.1810 0.6998 0.8808
4 Nd 0.3222 0.0150 0.6928
5 Nd 0.3222 0.6295 0.3072
6 Nd 0.3950 0.2057 0.1894
7 Nd 0.6050 0.7943 0.8106
8 Nd 0.6778 0.3705 0.6928
9 Nd 0.6778 0.9850 0.3072
10 Nd 0.8190 0.3002 0.1192
11 Nd 0.8190 0.6998 0.5187
12 Nd 0.9837 0.7943 0.1894
13 Tl 0.5000 0.5000 0.0000
14 Ni 0.0000 0.0000 0.0000
15 Ni 0.1230 0.6230 0.5000
16 Ni 0.3696 0.0000 0.3696
17 Ni 0.6304 0.0000 0.6304
18 Ni 0.8770 0.3770 0.5000



The following is a simulated X-ray diffraction stick pattern of Tm4AsCS2. It was derived from a crystal structure in Alexandria, relaxed with PBE, using Cu Ka.
Neutral-atom scattering factors, no anomalous dispersion.

Principal peaks in the range 2θ = 10–80°, in order of rising 2θ:
two_theta  I (rel.)
28.4  100
29.4  18
32.7  39
33.0  97
44.8  11
47.1  55
47.3  35
56.1  32
58.7  29
69.1  11
78.6  12
78.7  16

Cell and atoms:
a b c (Å): 6.6967 6.6967 6.6967
angles (deg): 132.11 132.11 70.06
Fractional positions:
1 Tm 0.0012 0.5012 0.5000
2 Tm 0.2190 0.2190 0.0000
3 Tm 0.4988 0.9988 0.5000
4 Tm 0.7810 0.7810 0.0000
5 As 0.7500 0.2500 0.5000
6 C 0.0000 0.0000 0.0000
7 S 0.2500 0.7500 0.5000
8 S 0.5000 0.5000 0.0000



The following is a simulated X-ray diffraction stick pattern of Tm2Sn2H. It was derived from a crystal structure in Alexandria, relaxed with PBE, using Cu Ka.
Neutral-atom scattering factors, no anomalous dispersion.

Principal peaks in the range 2θ = 10–80°, in order of rising 2θ:
two_theta  I (rel.)
30.5  37
30.6  38
35.9  100
43.7  28
57.7  24
57.9  26
58.7  6
67.6  16
72.0  6
72.3  7
75.2  11
76.0  11

Cell and atoms:
a b c (Å): 7.5307 7.5307 7.5307
angles (deg): 134.12 66.71 134.36
Fractional positions:
1 Tm 0.0672 0.2414 0.3086
2 Tm 0.4328 0.7414 0.1742
3 Tm 0.5672 0.2586 0.8258
4 Tm 0.9328 0.7586 0.6914
5 Sn 0.1862 0.7274 0.9136
6 Sn 0.3138 0.2274 0.5412
7 Sn 0.6862 0.7726 0.4588
8 Sn 0.8138 0.2726 0.0864
9 H 0.2500 0.2500 0.0000
10 H 0.7500 0.7500 0.0000



The following is a simulated X-ray diffraction stick pattern of Ac5In4I. It was derived from a crystal structure in Alexandria, relaxed with PBE, using Cu Ka.
Neutral-atom scattering factors, no anomalous dispersion.

Principal peaks in the range 2θ = 10–80°, in order of rising 2θ:
two_theta  I (rel.)
19.5  6
22.7  9
30.1  100
32.3  43
39.6  11
46.3  16
52.0  20
56.2  35
62.6  12
66.1  9
75.7  7
76.9  7

Cell and atoms:
a b c (Å): 3.9208 3.9208 22.7418
angles (deg): 90.00 90.00 90.00
Fractional positions:
1 Ac 0.0000 0.0000 0.0000
2 Ac 0.0000 0.0000 0.1974
3 Ac 0.0000 0.0000 0.3905
4 Ac 0.0000 0.0000 0.6095
5 Ac 0.0000 0.0000 0.8026
6 In 0.5000 0.5000 0.0988
7 In 0.5000 0.5000 0.2987
8 In 0.5000 0.5000 0.7013
9 In 0.5000 0.5000 0.9012
10 I 0.5000 0.5000 0.5000



Q: Which formula does entry 3 have?
A: Tm2Sn2H